(1)
The following is a simulated powder diffraction line list of SiC. It was derived from a GGA-PBE-relaxed structure, using Cu Kα X-rays.
Lines closer than 0.1° are merged.

Structure:
a = 3.0940 Å, b = 3.0940 Å, c = 10.1278 Å
α = 90.00°, β = 90.00°, γ = 120.00°
Space group P6_3mc (No. 186)
Inequivalent atoms, fractional coordinates:
Si 0.0000 0.0000 0.0000 (multiplicity 2)
Si 0.3333 0.6667 0.2500 (multiplicity 2)
C 0.0000 0.0000 0.3125 (multiplicity 2)
C 0.3333 0.6667 0.0619 (multiplicity 2)

Most intense lines, 2θ = 5–70°, in order of rising 2θ:
2θ/deg  intensity  hkl
33.44  25  1 0 0
34.63  100  1 0 1
35.45  67  0 0 4
37.99  99  1 0 2
43.10  18  1 0 3
49.53  9  1 0 4
56.99  26  1 0 5
59.78  60  1 1 0
65.34  46  1 0 6



(2)
The following is a simulated powder diffraction line list of NaSrHfBiO6. It was derived from a GGA-PBE-relaxed structure, using Cu Kα X-rays.
Lines closer than 0.1° are merged.

Structure:
a = 8.3091 Å, b = 8.3091 Å, c = 8.3091 Å
α = 90.00°, β = 90.00°, γ = 90.00°
Space group F-43m (No. 216)
Inequivalent atoms, fractional coordinates:
Na 0.0000 0.0000 0.0000 (multiplicity 4)
Sr 0.0000 0.0000 0.5000 (multiplicity 4)
Hf 0.2500 0.2500 0.7500 (multiplicity 4)
Bi 0.2500 0.2500 0.2500 (multiplicity 4)
O 0.0026 0.2500 0.7500 (multiplicity 24)

Most intense lines, 2θ = 5–70°, in order of rising 2θ:
2θ/deg  intensity  hkl
18.50  5  1 1 1
21.39  52  2 0 0
30.43  100  2 2 0
35.84  3  3 1 1
37.50  5  2 2 2
43.57  31  4 0 0
49.03  23  4 2 0
54.07  42  4 2 2
63.32  19  4 4 0
67.65  11  6 0 0